Simulated X-ray diffraction stick pattern of K4LiMn4O8 for Cu Kα (weighted mean of Kα1 and Kα2), from DFT lattice parameters and positions (GGA+U).
No peak broadening, texture or thermal motion is included.

Main lines, by angle (15 to 90 degrees two-theta):
2θ 15.01, I 52, (1 0 1)
2θ 26.80, I 59, (0 0 4)
2θ 27.85, I 54, (2 0 -1)
2θ 32.58, I 43, (0 1 2)
2θ 36.35, I 41, (1 0 -5)
2θ 41.10, I 100, (2 1 1)

Crystal structure
```
17
Lattice="6.600 0.000 0.000 0.000 3.018 0.000 -0.054 0.000 13.304" Properties=species:S:1:pos:R:3 pbc="T T T"
K 0.000 0.000 0.000
K 0.926 1.509 5.039
K 2.909 1.509 11.360
K 4.364 0.000 7.316
Li 5.667 0.000 2.605
Mn 1.086 0.000 8.130
Mn 3.045 0.000 1.564
Mn 4.107 1.509 4.001
Mn 6.192 1.509 10.332
O 0.919 0.000 10.337
O 2.004 1.509 0.702
O 2.241 1.509 7.602
O 2.840 0.000 3.829
O 4.759 1.509 1.996
O 5.022 0.000 10.822
O 5.315 0.000 4.483
O 6.357 1.509 8.165
```